Starting from a DFT-relaxed cell (GGA-PBE, Alexandria), the X-ray diffraction stick pattern of Ag5HgAu12 was calculated for Cu Kα (λ = 1.5418 Å).
Neutral-atom scattering factors, no anomalous dispersion.

Main lines, low angle first (15° ≤ 2θ ≤ 90°):
| two_theta | I_rel | (hkl) |
| --- | --- | --- |
| 35.67 | 34.0 | 0 0 2 |
| 35.94 | 33.5 | 0 6 0 |
| 39.93 | 100.0 | 3 3 1 |
| 51.54 | 23.9 | 0 6 2 |
| 63.57 | 6.4 | 6 0 0 |
| 66.95 | 21.9 | 3 3 3 |
| 67.29 | 21.5 | 3 9 1 |
| 75.08 | 7.9 | 6 0 2 |
| 75.24 | 7.9 | 6 6 0 |
| 86.15 | 11.5 | 6 6 2 |
| 86.61 | 5.7 | 0 6 4 |
| 89.38 | 10.8 | 3 9 3 |

Atomic structure:
```
data_Ag5HgAu12
_symmetry_space_group_name_H-M 'C m m m'
_symmetry_Int_Tables_number 65
_symmetry_space_group_name_Hall '-C 2 2'
_cell_length_a 8.782
_cell_length_b 14.994
_cell_length_c 5.034
_cell_angle_alpha 90.00
_cell_angle_beta 90.00
_cell_angle_gamma 90.00
loop_
_atom_site_label
_atom_site_fract_x
_atom_site_fract_y
_atom_site_fract_z
Ag1 0.000 0.000 0.000
Ag2 0.000 0.166 0.500
Ag3 0.000 0.332 0.000
Hg1 0.000 0.500 0.500
Au1 0.165 0.000 0.500
Au2 0.167 0.167 0.000
Au3 0.167 0.331 0.500
Au4 0.169 0.500 0.000
```